# 1
The following is a simulated powder XRD pattern of ErUOs4. It was derived from a DFT-relaxed cell (PBE, Alexandria), using Cu Ka.

Atomic structure:
```
data_ErUOs4
_cell_length_a 5.3345
_cell_length_b 5.3345
_cell_length_c 5.3345
_cell_angle_alpha 60.00
_cell_angle_beta 60.00
_cell_angle_gamma 60.00
_symmetry_space_group_name_H-M 'P 1'
_symmetry_Int_Tables_number 1
loop_
_symmetry_equiv_pos_as_xyz
'x,y,z'
loop_
_atom_site_label
_atom_site_type_symbol
_atom_site_fract_x
_atom_site_fract_y
_atom_site_fract_z
Er1 Er 0.0000 0.0000 0.0000
U1 U 0.7500 0.7500 0.7500
Os1 Os 0.3748 0.3748 0.3748
Os2 Os 0.3748 0.3748 0.8755
Os3 Os 0.3748 0.8755 0.3748
Os4 Os 0.8755 0.3748 0.3748
```

The 11 most intense peaks (2θ from 10° to 80°), sorted by position:
2theta, intensity
20.39, 5
23.59, 1
33.60, 28
39.62, 100
41.46, 39
48.25, 4
52.90, 1
60.08, 11
64.14, 33
70.63, 29
74.39, 1

---

# 2
The following is a simulated powder XRD pattern of Tl12Cd7In. It was derived from a DFT-relaxed cell (PBE, Alexandria), using Cu Ka.

Atomic structure:
```
data_Tl12Cd7In
_cell_length_a 8.6822
_cell_length_b 8.6822
_cell_length_c 8.6822
_cell_angle_alpha 105.06
_cell_angle_beta 105.06
_cell_angle_gamma 105.06
_symmetry_space_group_name_H-M 'P 1'
_symmetry_Int_Tables_number 1
loop_
_symmetry_equiv_pos_as_xyz
'x,y,z'
loop_
_atom_site_label
_atom_site_type_symbol
_atom_site_fract_x
_atom_site_fract_y
_atom_site_fract_z
Tl1 Tl 0.0050 0.2705 0.7327
Tl2 Tl 0.1559 0.4150 0.1638
Tl3 Tl 0.1638 0.1559 0.4150
Tl4 Tl 0.2673 0.9950 0.7295
Tl5 Tl 0.2705 0.7327 0.0050
Tl6 Tl 0.4150 0.1638 0.1559
Tl7 Tl 0.5850 0.8362 0.8441
Tl8 Tl 0.7295 0.2673 0.9950
Tl9 Tl 0.7327 0.0050 0.2705
Tl10 Tl 0.8362 0.8441 0.5850
Tl11 Tl 0.8441 0.5850 0.8362
Tl12 Tl 0.9950 0.7295 0.2673
Cd1 Cd 0.0000 0.0000 0.0000
Cd2 Cd 0.1842 0.5762 0.5829
Cd3 Cd 0.4171 0.8158 0.4238
Cd4 Cd 0.4238 0.4171 0.8158
Cd5 Cd 0.5762 0.5829 0.1842
Cd6 Cd 0.5829 0.1842 0.5762
Cd7 Cd 0.8158 0.4238 0.4171
In1 In 0.5000 0.5000 0.5000
```

The 12 most intense peaks (2θ from 10° to 80°), sorted by position:
2theta, intensity
31.18, 100
32.03, 60
33.85, 13
34.27, 63
34.64, 42
35.25, 32
39.22, 11
53.17, 19
56.81, 17
57.93, 15
58.92, 28
69.19, 10

---

# 3
The following is a simulated powder XRD pattern of Rb3ErSe3. It was derived from a DFT-relaxed cell (PBE, Alexandria), using Cu Ka.

Atomic structure:
```
data_Rb3ErSe3
_cell_length_a 8.7273
_cell_length_b 8.7273
_cell_length_c 8.4692
_cell_angle_alpha 95.67
_cell_angle_beta 95.67
_cell_angle_gamma 114.22
_symmetry_space_group_name_H-M 'P 1'
_symmetry_Int_Tables_number 1
loop_
_symmetry_equiv_pos_as_xyz
'x,y,z'
loop_
_atom_site_label
_atom_site_type_symbol
_atom_site_fract_x
_atom_site_fract_y
_atom_site_fract_z
Rb1 Rb 0.1810 0.8190 0.0000
Rb2 Rb 0.2500 0.7500 0.5000
Rb3 Rb 0.3843 0.3843 0.1366
Rb4 Rb 0.6157 0.6157 0.8634
Rb5 Rb 0.7500 0.2500 0.5000
Rb6 Rb 0.8190 0.1810 0.0000
Er1 Er 0.1774 0.1774 0.6424
Er2 Er 0.8226 0.8226 0.3576
Se1 Se 0.1007 0.1007 0.3121
Se2 Se 0.1609 0.4579 0.7747
Se3 Se 0.4579 0.1609 0.7747
Se4 Se 0.5421 0.8391 0.2253
Se5 Se 0.8391 0.5421 0.2253
Se6 Se 0.8993 0.8993 0.6879
```

The 12 most intense peaks (2θ from 10° to 80°), sorted by position:
2theta, intensity
12.08, 37
14.25, 100
22.60, 50
23.96, 70
24.29, 28
24.59, 30
25.97, 31
26.54, 54
29.44, 68
31.04, 68
34.21, 44
45.28, 37

---

# 4
The following is a simulated powder XRD pattern of PuNpCuRu. It was derived from a DFT-relaxed cell (PBE, Alexandria), using Cu Ka.

Atomic structure:
```
data_PuNpCuRu
_cell_length_a 6.4089
_cell_length_b 6.4089
_cell_length_c 6.4089
_cell_angle_alpha 90.00
_cell_angle_beta 90.00
_cell_angle_gamma 90.00
_symmetry_space_group_name_H-M 'P 1'
_symmetry_Int_Tables_number 1
loop_
_symmetry_equiv_pos_as_xyz
'x,y,z'
loop_
_atom_site_label
_atom_site_type_symbol
_atom_site_fract_x
_atom_site_fract_y
_atom_site_fract_z
Pu1 Pu 0.0000 0.0000 0.0000
Pu2 Pu 0.0000 0.5000 0.5000
Pu3 Pu 0.5000 0.0000 0.5000
Pu4 Pu 0.5000 0.5000 0.0000
Np1 Np 0.2500 0.2500 0.2500
Np2 Np 0.2500 0.7500 0.7500
Np3 Np 0.7500 0.2500 0.7500
Np4 Np 0.7500 0.7500 0.2500
Cu1 Cu 0.2500 0.2500 0.7500
Cu2 Cu 0.2500 0.7500 0.2500
Cu3 Cu 0.7500 0.2500 0.2500
Cu4 Cu 0.7500 0.7500 0.7500
Ru1 Ru 0.0000 0.0000 0.5000
Ru2 Ru 0.0000 0.5000 0.0000
Ru3 Ru 0.5000 0.0000 0.0000
Ru4 Ru 0.5000 0.5000 0.5000
```

The 7 most intense peaks (2θ from 10° to 80°), sorted by position:
2theta, intensity
24.05, 25
39.78, 100
47.03, 14
57.52, 17
63.25, 6
72.21, 35
77.37, 5

---

# 5
The following is a simulated powder XRD pattern of PaAs2Rh7Pb2. It was derived from a DFT-relaxed cell (PBE, Alexandria), using Cu Ka.

Atomic structure:
```
data_PaAs2Rh7Pb2
_cell_length_a 4.0065
_cell_length_b 4.0065
_cell_length_c 14.2071
_cell_angle_alpha 94.96
_cell_angle_beta 94.96
_cell_angle_gamma 89.83
_symmetry_space_group_name_H-M 'P 1'
_symmetry_Int_Tables_number 1
loop_
_symmetry_equiv_pos_as_xyz
'x,y,z'
loop_
_atom_site_label
_atom_site_type_symbol
_atom_site_fract_x
_atom_site_fract_y
_atom_site_fract_z
Pa1 Pa 0.0000 0.0000 0.0000
As1 As 0.4246 0.4246 0.7535
As2 As 0.5754 0.5754 0.2465
Rh1 Rh 0.0443 0.5437 0.1467
Rh2 Rh 0.3828 0.3828 0.5796
Rh3 Rh 0.4563 0.9557 0.8533
Rh4 Rh 0.5000 0.5000 0.0000
Rh5 Rh 0.5437 0.0443 0.1467
Rh6 Rh 0.6172 0.6172 0.4204
Rh7 Rh 0.9557 0.4563 0.8533
Pb1 Pb 0.1084 0.1084 0.3929
Pb2 Pb 0.8916 0.8916 0.6071
```

The 12 most intense peaks (2θ from 10° to 80°), sorted by position:
2theta, intensity
12.55, 37
26.60, 27
28.05, 32
31.69, 82
32.28, 22
34.15, 25
35.09, 53
35.75, 59
37.09, 62
45.37, 100
45.45, 36
67.82, 22

---

# 6
The following is a simulated powder XRD pattern of Cd3In4Hg16. It was derived from a DFT-relaxed cell (PBE, Alexandria), using Cu Ka.

Atomic structure:
```
data_Cd3In4Hg16
_cell_length_a 7.1897
_cell_length_b 7.1897
_cell_length_c 12.2064
_cell_angle_alpha 90.00
_cell_angle_beta 90.00
_cell_angle_gamma 90.00
_symmetry_space_group_name_H-M 'P 1'
_symmetry_Int_Tables_number 1
loop_
_symmetry_equiv_pos_as_xyz
'x,y,z'
loop_
_atom_site_label
_atom_site_type_symbol
_atom_site_fract_x
_atom_site_fract_y
_atom_site_fract_z
Cd1 Cd 0.0000 0.0000 0.0000
Cd2 Cd 0.0000 0.5000 0.5000
Cd3 Cd 0.5000 0.0000 0.5000
In1 In 0.0000 0.5000 0.1795
In2 In 0.0000 0.5000 0.8205
In3 In 0.5000 0.0000 0.1795
In4 In 0.5000 0.0000 0.8205
Hg1 Hg 0.0000 0.0000 0.2340
Hg2 Hg 0.0000 0.0000 0.7660
Hg3 Hg 0.2595 0.2595 0.3636
Hg4 Hg 0.2595 0.2595 0.6364
Hg5 Hg 0.2595 0.7405 0.3636
Hg6 Hg 0.2595 0.7405 0.6364
Hg7 Hg 0.2840 0.2840 0.0000
Hg8 Hg 0.2840 0.7160 0.0000
Hg9 Hg 0.5000 0.5000 0.1989
Hg10 Hg 0.5000 0.5000 0.8011
Hg11 Hg 0.7160 0.2840 0.0000
Hg12 Hg 0.7160 0.7160 0.0000
Hg13 Hg 0.7405 0.2595 0.3636
Hg14 Hg 0.7405 0.2595 0.6364
Hg15 Hg 0.7405 0.7405 0.3636
Hg16 Hg 0.7405 0.7405 0.6364
```

The 12 most intense peaks (2θ from 10° to 80°), sorted by position:
2theta, intensity
21.84, 9
28.82, 21
33.26, 100
35.31, 67
36.82, 11
38.70, 16
50.80, 22
51.93, 14
58.07, 8
62.08, 28
65.62, 12
66.58, 7